# 1
For MgV12Zn6O24, DFT lattice parameters and positions (GGA+U) gives the computed powder X-ray diffraction pattern in this record (Cu Kα X-rays).
Peak positions follow from Bragg's law for the DFT cell and can differ from measured ones.

Most intense lines, 10 to 80 degrees two-theta, sorted by position:
2θ (°)	I (rel.)	hkl
28.86	582	1 1 4
28.98	674	1 2 0
33.99	1000	1 2 3
34.07	954	1 2 -3
34.16	363	2 1 -3
51.29	198	0 3 0
54.56	333	1 3 5
54.68	330	2 3 -5
59.76	346	0 2 -8
60.10	384	4 2 0

Atomic structure:
a b c (Å): 6.1543 6.1618 15.1870
angles (deg): 89.85 89.84 60.15
Space group P1 (No. 1)
Asymmetric unit:
Mg (0.0000, 0.0000, 0.0000) [1 per cell]
V (0.0115, 0.9991, 0.1506) [1 per cell]
V (0.0115, 0.9940, 0.7472) [1 per cell]
V (0.0131, 0.4938, 0.6238) [1 per cell]
V (0.1774, 0.1650, 0.3009) [1 per cell]
V (0.1784, 0.6615, 0.3007) [1 per cell]
V (0.3444, 0.3267, 0.4616) [1 per cell]
V (0.4023, 0.7971, 0.9515) [1 per cell]
V (0.5096, 0.9956, 0.6230) [1 per cell]
V (0.5117, 0.4909, 0.6231) [1 per cell]
V (0.6741, 0.1649, 0.3011) [1 per cell]
V (0.8170, 0.3910, 0.9483) [1 per cell]
V (0.8187, 0.7908, 0.9472) [1 per cell]
Zn (0.0129, 0.9932, 0.5037) [1 per cell]
Zn (0.3390, 0.3298, 0.8288) [1 per cell]
Zn (0.3448, 0.3290, 0.0917) [1 per cell]
Zn (0.6731, 0.6629, 0.7823) [1 per cell]
Zn (0.6765, 0.6646, 0.1720) [1 per cell]
Zn (0.6789, 0.6608, 0.4204) [1 per cell]
O (0.0082, 0.9961, 0.8758) [1 per cell]
O (0.0206, 0.9910, 0.3706) [1 per cell]
O (0.0417, 0.4803, 0.3803) [1 per cell]
O (0.1769, 0.1440, 0.0470) [1 per cell]
O (0.1829, 0.6785, 0.0448) [1 per cell]
O (0.1849, 0.1811, 0.5471) [1 per cell]
O (0.1993, 0.6296, 0.5455) [1 per cell]
O (0.3204, 0.8438, 0.2220) [1 per cell]
O (0.3311, 0.3365, 0.2300) [1 per cell]
O (0.3495, 0.3252, 0.6933) [1 per cell]
O (0.3578, 0.8266, 0.6980) [1 per cell]
O (0.4982, 0.0233, 0.3769) [1 per cell]
O (0.4981, 0.4811, 0.3760) [1 per cell]
O (0.5071, 0.5138, 0.8719) [1 per cell]
O (0.5074, 0.9784, 0.8722) [1 per cell]
O (0.6476, 0.1670, 0.5433) [1 per cell]
O (0.6752, 0.6606, 0.5537) [1 per cell]
O (0.6746, 0.6637, 0.0414) [1 per cell]
O (0.7057, 0.1488, 0.0630) [1 per cell]
O (0.8338, 0.3363, 0.6960) [1 per cell]
O (0.8453, 0.8190, 0.6954) [1 per cell]
O (0.8536, 0.3085, 0.2263) [1 per cell]
O (0.8552, 0.8432, 0.2260) [1 per cell]
O (0.9849, 0.5066, 0.8602) [1 per cell]


# 2
For LiV3O5F3, DFT lattice parameters and positions (GGA+U) gives the computed powder X-ray diffraction pattern in this record (Cu Kα X-rays).
Peak positions follow from Bragg's law for the DFT cell and can differ from measured ones.

Most intense lines, 10 to 80 degrees two-theta, sorted by position:
2θ (°)	I (rel.)	hkl
12.54	242	1 1 0
21.68	282	1 1 1
25.24	1000	2 2 0
30.58	699	2 2 -1
31.07	590	2 2 1
40.19	270	2 0 -2
42.10	478	2 4 1
54.78	327	4 4 -1
55.39	373	4 4 1
64.22	295	0 4 3

Atomic structure:
a b c (Å): 9.1165 11.1536 5.0951
angles (deg): 90.00 91.21 90.00
Space group Cc (No. 9)
Asymmetric unit:
Li (0.0000, 0.1654, 0.0000) [4 per cell]
V (0.2420, 0.4435, 0.0084) [4 per cell]
V (0.2504, 0.0819, 0.4679) [4 per cell]
V (0.4856, 0.1767, 0.9689) [4 per cell]
O (0.1207, 0.1909, 0.3765) [4 per cell]
O (0.1228, 0.4388, 0.3337) [4 per cell]
O (0.3499, 0.4499, 0.6807) [4 per cell]
O (0.3557, 0.0608, 0.1527) [4 per cell]
O (0.3809, 0.1837, 0.6808) [4 per cell]
F (0.1082, 0.3178, 0.8314) [4 per cell]
F (0.1329, 0.0536, 0.8111) [4 per cell]
F (0.3733, 0.3077, 0.1549) [4 per cell]


# 3
For MnPH4NO3F3, DFT lattice parameters and positions (GGA+U) gives the computed powder X-ray diffraction pattern in this record (Cu Kα X-rays).
Peak positions follow from Bragg's law for the DFT cell and can differ from measured ones.

Most intense lines, 10 to 80 degrees two-theta, sorted by position:
2θ (°)	I (rel.)	hkl
12.81	1000	0 2 0
17.79	262	0 2 1
18.19	197	1 1 -1
25.81	507	1 3 -1
26.13	455	1 1 1
27.93	206	0 2 2
28.46	178	1 2 1
30.94	119	1 3 -2
34.41	105	2 0 -2
35.01	209	1 1 -3

Atomic structure:
a b c (Å): 5.4846 13.8184 7.8562
angles (deg): 90.00 113.48 90.00
Space group P2_1/c (No. 14)
Asymmetric unit:
Mn (0.0000, 0.0000, 0.0000) [2 per cell]
Mn (0.5000, 0.0000, 0.5000) [2 per cell]
P (0.1275, 0.1018, 0.6840) [4 per cell]
H (0.2365, 0.6829, 0.1710) [4 per cell]
H (0.2695, 0.6714, 0.3948) [4 per cell]
H (0.3891, 0.7279, 0.8266) [4 per cell]
H (0.4674, 0.1627, 0.1660) [4 per cell]
N (0.3571, 0.6988, 0.3080) [4 per cell]
O (0.1621, 0.6046, 0.9506) [4 per cell]
O (0.1966, 0.0305, 0.8457) [4 per cell]
O (0.3264, 0.0981, 0.5914) [4 per cell]
F (0.1378, 0.6261, 0.5315) [4 per cell]
F (0.1900, 0.2069, 0.7771) [4 per cell]
F (0.3268, 0.0516, 0.2555) [4 per cell]


# 4
For Mn4O7F, DFT lattice parameters and positions (GGA+U) gives the computed powder X-ray diffraction pattern in this record (Cu Kα X-rays).
Peak positions follow from Bragg's law for the DFT cell and can differ from measured ones.

Most intense lines, 10 to 80 degrees two-theta, sorted by position:
2θ (°)	I (rel.)	hkl
25.75	604	0 2 1
31.53	1000	1 2 -1
37.51	226	1 0 -2
42.82	171	1 2 2
44.97	195	2 2 1
54.29	136	0 2 3
55.38	242	2 4 0
56.33	391	1 4 2
62.21	137	3 2 -1
65.99	170	3 0 2

Atomic structure:
a b c (Å): 4.9619 8.9240 5.4767
angles (deg): 90.00 90.08 90.00
Space group Pc (No. 7)
Asymmetric unit:
Mn (0.0000, 0.1152, 0.0000) [2 per cell]
Mn (0.4854, 0.3772, 0.7726) [2 per cell]
Mn (0.4978, 0.1256, 0.2756) [2 per cell]
Mn (0.9988, 0.3769, 0.4602) [2 per cell]
O (0.1605, 0.4864, 0.7307) [2 per cell]
O (0.1733, 0.0054, 0.2474) [2 per cell]
O (0.3206, 0.2382, 0.0196) [2 per cell]
O (0.3235, 0.2572, 0.5137) [2 per cell]
O (0.6642, 0.4886, 0.5125) [2 per cell]
O (0.6695, 0.0044, 0.0236) [2 per cell]
O (0.8239, 0.2373, 0.2379) [2 per cell]
F (0.8277, 0.2496, 0.7522) [2 per cell]


# 5
For RbHoMo2O8, DFT lattice parameters and positions (GGA+U) gives the computed powder X-ray diffraction pattern in this record (Cu Kα X-rays).
Peak positions follow from Bragg's law for the DFT cell and can differ from measured ones.

Most intense lines, 10 to 80 degrees two-theta, sorted by position:
2θ (°)	I (rel.)	hkl
14.25	199	1 1 -1
27.77	1000	2 2 0
28.73	656	2 2 -2
30.57	310	0 0 2
33.29	109	4 0 -2
34.26	107	0 4 0
46.57	164	0 4 2
47.12	145	4 0 -4
51.32	104	3 5 -2
53.77	144	2 2 -4

Atomic structure:
a b c (Å): 10.7814 10.4690 7.7482
angles (deg): 90.00 130.98 90.00
Space group C2/c (No. 15)
Asymmetric unit:
Rb (0.0000, 0.1989, 0.2500) [4 per cell]
Ho (0.0000, 0.2290, 0.7500) [4 per cell]
Mo (0.1963, 0.4997, 0.2374) [8 per cell]
O (0.0236, 0.3907, 0.9692) [8 per cell]
O (0.1271, 0.0804, 0.6923) [8 per cell]
O (0.1902, 0.4246, 0.4388) [8 per cell]
O (0.2249, 0.1579, 0.1236) [8 per cell]


# 6
For MnPb2WO6, DFT lattice parameters and positions (GGA+U) gives the computed powder X-ray diffraction pattern in this record (Cu Kα X-rays).
Peak positions follow from Bragg's law for the DFT cell and can differ from measured ones.

Most intense lines, 10 to 80 degrees two-theta, sorted by position:
2θ (°)	I (rel.)	hkl
18.51	181	2 1 0
30.19	461	4 0 0
30.58	1000	2 2 1
43.22	211	4 0 2
44.35	147	0 4 0
53.86	266	6 2 1
54.54	120	0 4 2
54.61	91	4 4 0
63.65	127	4 4 2
73.08	86	2 6 1

Atomic structure:
a b c (Å): 11.8294 8.1693 5.9274
angles (deg): 90.00 90.00 90.00
Space group Pnma (No. 62)
Asymmetric unit:
Mn (0.1171, 0.2500, 0.2377) [4 per cell]
Pb (0.1471, 0.5061, 0.7016) [8 per cell]
W (0.1190, 0.7500, 0.2480) [4 per cell]
O (0.0038, 0.7500, 0.4780) [4 per cell]
O (0.0183, 0.7500, 0.0105) [4 per cell]
O (0.1389, 0.5123, 0.2832) [8 per cell]
O (0.2301, 0.7500, 0.5377) [4 per cell]
O (0.2464, 0.2500, 0.5536) [4 per cell]